# ZnCu2Ni8
Theoretical X-ray diffraction stick pattern, Cu Kα (λ = 1.5418 Å). Input: a PBE-relaxed structure.
No peak broadening, texture or thermal motion is included.

The 6 most intense peaks (10° ≤ 2θ ≤ 90°), sorted by position:
- d 2.088, 43.33 deg, I 28
- d 1.996, 45.44 deg, I 100
- d 1.991, 45.56 deg, I 13
- d 1.946, 46.69 deg, I 31
- d 1.807, 50.52 deg, I 14
- d 1.133, 85.78 deg, I 14

Cell and atoms:
```
ZnCu2Ni8
1.0
-1.9456 3.0384 5.4198
1.9456 -3.0384 5.4198
1.9456 3.0384 -5.4198
Zn Cu Ni
1 2 8
Direct
0.0000 0.0000 0.0000
0.2996 0.2996 0.0000
0.7004 0.7004 0.0000
0.1452 0.8527 0.2925
0.1532 0.6532 0.5000
0.2965 0.5000 0.7965
0.4398 0.1473 0.2925
0.5602 0.8527 0.7075
0.7035 0.5000 0.2035
0.8468 0.3468 0.5000
0.8548 0.1473 0.7075
```

---

# Zn6Cu12Ni
Theoretical X-ray diffraction stick pattern, Cu Kα (λ = 1.5418 Å). Input: a PBE-relaxed structure.
No peak broadening, texture or thermal motion is included.

The 6 most intense peaks (10° ≤ 2θ ≤ 90°), sorted by position:
- d 2.800, 31.96 deg, I 12
- d 2.087, 43.35 deg, I 100
- d 1.980, 45.82 deg, I 59
- d 1.888, 48.20 deg, I 14
- d 1.228, 77.74 deg, I 13
- d 1.163, 83.02 deg, I 11

Cell and atoms:
```
Zn6Cu12Ni
1.0
4.4307 2.5581 3.6108
-4.4307 2.5581 3.6108
0.0000 -5.1161 3.6108
Zn Cu Ni
6 12 1
Direct
0.2261 0.7653 0.3859
0.2347 0.6141 0.7739
0.3859 0.2261 0.7653
0.6141 0.7739 0.2347
0.7653 0.3859 0.2261
0.7739 0.2347 0.6141
0.0277 0.2946 0.9454
0.0546 0.9723 0.7054
0.1298 0.3437 0.4573
0.2946 0.9454 0.0277
0.3437 0.4573 0.1298
0.4573 0.1298 0.3437
0.5427 0.8702 0.6563
0.6563 0.5427 0.8702
0.7054 0.0546 0.9723
0.8702 0.6563 0.5427
0.9454 0.0277 0.2946
0.9723 0.7054 0.0546
0.5000 0.5000 0.5000
```

---

# Zn12Cu5Ni2
Theoretical X-ray diffraction stick pattern, Cu Kα (λ = 1.5418 Å). Input: a PBE-relaxed structure.
No peak broadening, texture or thermal motion is included.

The 6 most intense peaks (10° ≤ 2θ ≤ 90°), sorted by position:
- d 2.177, 41.47 deg, I 81
- d 2.168, 41.65 deg, I 96
- d 2.137, 42.30 deg, I 80
- d 2.133, 42.37 deg, I 58
- d 2.116, 42.72 deg, I 100
- d 1.944, 46.72 deg, I 57

Cell and atoms:
```
Zn12Cu5Ni2
1.0
5.9353 -3.5613 0.0000
5.9353 3.5613 0.0000
-0.0143 0.0000 6.1511
Zn Cu Ni
12 5 2
Direct
0.0606 0.0606 0.3157
0.0771 0.6785 0.3364
0.1544 0.5294 0.7684
0.3215 0.9229 0.6636
0.4102 0.4102 0.1157
0.4706 0.8456 0.2316
0.5294 0.1544 0.7684
0.5898 0.5898 0.8843
0.6785 0.0771 0.3364
0.8456 0.4706 0.2316
0.9229 0.3215 0.6636
0.9394 0.9394 0.6843
0.1935 0.1935 0.9966
0.2690 0.2690 0.4356
0.5000 0.5000 0.5000
0.7310 0.7310 0.5644
0.8065 0.8065 0.0034
0.1907 0.8093 0.0000
0.8093 0.1907 0.0000
```

---

# Zn2CuNi
Theoretical X-ray diffraction stick pattern, Cu Kα (λ = 1.5418 Å). Input: a PBE-relaxed structure.
No peak broadening, texture or thermal motion is included.

The 6 most intense peaks (10° ≤ 2θ ≤ 90°), sorted by position:
- d 2.116, 42.74 deg, I 100
- d 1.963, 46.25 deg, I 20
- d 1.951, 46.54 deg, I 19
- d 1.384, 67.70 deg, I 12
- d 1.161, 83.25 deg, I 12
- d 1.156, 83.67 deg, I 12

Cell and atoms:
```
Zn2CuNi
1.0
2.7682 0.0000 0.0000
0.0000 3.2817 0.0000
-0.0328 0.0000 5.5358
Zn Cu Ni
2 1 1
Direct
0.0002 0.0000 0.2424
0.9998 0.0000 0.7576
0.5000 0.5000 0.5000
0.5000 0.5000 0.0000
```

---

# ZnCu2Ni5
Theoretical X-ray diffraction stick pattern, Cu Kα (λ = 1.5418 Å). Input: a PBE-relaxed structure.
No peak broadening, texture or thermal motion is included.

The 5 most intense peaks (10° ≤ 2θ ≤ 90°), sorted by position:
- d 2.062, 43.91 deg, I 100
- d 1.793, 50.93 deg, I 31
- d 1.772, 51.59 deg, I 15
- d 1.268, 74.90 deg, I 9
- d 1.260, 75.43 deg, I 18

Cell and atoms:
```
ZnCu2Ni5
1.0
-1.7929 1.7929 7.0862
1.7929 -1.7929 7.0862
1.7929 1.7929 -7.0862
Zn Cu Ni
1 2 5
Direct
0.0000 0.0000 0.0000
0.2499 0.2499 0.0000
0.7501 0.7501 0.0000
0.1243 0.6243 0.5000
0.3757 0.8757 0.5000
0.5000 0.5000 0.0000
0.6243 0.1243 0.5000
0.8757 0.3757 0.5000
```

---

# Zn2Cu3Ni6
Theoretical X-ray diffraction stick pattern, Cu Kα (λ = 1.5418 Å). Input: a PBE-relaxed structure.
No peak broadening, texture or thermal motion is included.

The 6 most intense peaks (10° ≤ 2θ ≤ 90°), sorted by position:
- d 2.058, 43.99 deg, I 56
- d 2.048, 44.23 deg, I 100
- d 2.030, 44.64 deg, I 49
- d 1.867, 48.78 deg, I 39
- d 1.788, 51.09 deg, I 32
- d 1.676, 54.76 deg, I 24

Cell and atoms:
```
Zn2Cu3Ni6
1.0
4.3625 0.0000 0.0000
-0.2474 5.0058 0.0000
-2.0739 -0.6557 6.1493
Zn Cu Ni
2 3 6
Direct
0.0000 0.0000 0.0000
0.3906 0.2969 0.4078
0.2097 0.9148 0.6858
0.5199 0.2486 0.0253
0.8572 0.5699 0.3658
0.0280 0.4999 0.0405
0.1546 0.4083 0.7053
0.3626 0.8054 0.3553
0.5181 0.7407 0.0259
0.6821 0.6461 0.7010
0.8599 0.0621 0.3527
```

---

# Zn5CuNi10
Theoretical X-ray diffraction stick pattern, Cu Kα (λ = 1.5418 Å). Input: a PBE-relaxed structure.
No peak broadening, texture or thermal motion is included.

The 6 most intense peaks (10° ≤ 2θ ≤ 90°), sorted by position:
- d 2.221, 40.63 deg, I 21
- d 2.049, 44.21 deg, I 54
- d 2.044, 44.33 deg, I 53
- d 1.998, 45.39 deg, I 100
- d 1.866, 48.80 deg, I 36
- d 1.111, 87.90 deg, I 27

Cell and atoms:
```
Zn5CuNi10
1.0
-4.5814 4.5814 2.2833
4.5814 -4.5814 2.2833
4.5814 4.5814 -2.2833
Zn Cu Ni
5 1 10
Direct
0.0000 0.0000 0.0000
0.0761 0.5761 0.1521
0.4239 0.9239 0.8479
0.5761 0.4239 0.5000
0.9239 0.0761 0.5000
0.5000 0.5000 0.0000
0.0000 0.5000 0.5000
0.0153 0.3215 0.8337
0.1816 0.0153 0.6938
0.3215 0.4878 0.3062
0.4878 0.1816 0.1663
0.5000 0.0000 0.5000
0.5122 0.6785 0.6938
0.6785 0.9847 0.1663
0.8184 0.5122 0.8337
0.9847 0.8184 0.3062
```

---

# Zn6CuNi5
Theoretical X-ray diffraction stick pattern, Cu Kα (λ = 1.5418 Å). Input: a PBE-relaxed structure.
No peak broadening, texture or thermal motion is included.

The 6 most intense peaks (10° ≤ 2θ ≤ 90°), sorted by position:
- d 2.077, 43.57 deg, I 53
- d 2.042, 44.35 deg, I 100
- d 1.469, 63.32 deg, I 16
- d 1.421, 65.73 deg, I 7
- d 1.192, 80.55 deg, I 31
- d 1.173, 82.20 deg, I 15

Cell and atoms:
```
Zn6CuNi5
1.0
2.0777 -6.2306 0.0000
2.0777 6.2306 0.0000
0.0000 0.0000 5.6829
Zn Cu Ni
6 1 5
Direct
0.0000 0.0000 0.2468
0.0000 0.0000 0.7532
0.3313 0.6687 0.2484
0.3313 0.6687 0.7516
0.6687 0.3313 0.2484
0.6687 0.3313 0.7516
0.5000 0.5000 0.5000
0.1650 0.8350 0.0000
0.1655 0.8345 0.5000
0.5000 0.5000 0.0000
0.8345 0.1655 0.5000
0.8350 0.1650 0.0000
```